Diffraction record for Sm2Mo8O45. The powder X-ray diffraction pattern is calculated, not measured: it uses DFT lattice parameters and positions (PBE+U) and a wavelength of 1.5418 Å.

Structural model:
```
data_Sm2Mo8O45
_symmetry_space_group_name_H-M 'P -1'
_symmetry_Int_Tables_number 2
_symmetry_space_group_name_Hall '-P 1'
_cell_length_a 9.319
_cell_length_b 10.388
_cell_length_c 10.798
_cell_angle_alpha 85.87
_cell_angle_beta 68.54
_cell_angle_gamma 89.90
loop_
_atom_site_label
_atom_site_fract_x
_atom_site_fract_y
_atom_site_fract_z
Sm1 0.138 0.198 0.209
Mo1 0.135 0.658 0.464
Mo2 0.312 0.744 0.665
Mo3 0.320 0.415 0.594
Mo4 0.452 0.446 0.248
O1 0.000 0.500 0.500
O2 0.025 0.262 0.417
O3 0.047 0.020 0.592
O4 0.094 0.486 0.074
O5 0.120 0.797 0.763
O6 0.136 0.122 0.970
O7 0.141 0.019 0.477
O8 0.145 0.722 0.311
O9 0.148 0.600 0.048
O10 0.188 0.552 0.655
O11 0.198 0.393 0.057
O12 0.205 0.279 0.624
O13 0.258 0.103 0.863
O14 0.271 0.007 0.154
O15 0.288 0.508 0.407
O16 0.289 0.761 0.491
O17 0.333 0.311 0.235
O18 0.356 0.643 0.809
O19 0.389 0.133 0.864
O20 0.408 0.396 0.718
O21 0.430 0.877 0.643
O22 0.449 0.552 0.120
O23 0.497 0.617 0.565
```

Largest 6 diffraction maxima, most intense first, 10° ≤ 2θ ≤ 80°:
- 2θ = 12.8°, I 100, hkl 0 1 -1
- 2θ = 13.5°, I 42, hkl 1 1 1
- 2θ = 24.5°, I 30, hkl -1 1 2
- 2θ = 23.6°, I 29, hkl 1 0 -2
- 2θ = 26.5°, I 29, hkl 2 -2 0
- 2θ = 25.7°, I 27, hkl 2 2 1